Record 1
This entry pairs a crystal structure of LiTa3Sb4Ir4 with its calculated X-ray diffraction stick pattern. Radiation: Cu Ka. Structure: a structure optimized by DFT (GGA-PBE).
Peak positions follow from Bragg's law for the DFT cell and can differ from measured ones.

Atomic structure:
```
data_LiTa3Sb4Ir4
_cell_length_a 6.2444
_cell_length_b 6.2444
_cell_length_c 12.3814
_cell_angle_alpha 90.00
_cell_angle_beta 90.00
_cell_angle_gamma 90.00
_space_group_name_H-M_alt 'I -4 2 m'
_space_group_IT_number 121
_space_group_name_Hall 'I -4 2'
loop_
_atom_site_label
_atom_site_fract_x
_atom_site_fract_y
_atom_site_fract_z
_atom_site_occupancy
Li1 0.0000 0.0000 0.0000 1
Ta1 0.0000 0.0000 0.5000 1
Ta2 0.0000 0.5000 0.2500 1
Sb1 0.0000 0.0000 0.2355 1
Sb2 0.0000 0.5000 0.0000 1
Ir1 0.2336 0.2336 0.6315 1
```

The 12 most intense peaks (15° ≤ 2θ ≤ 90°), sorted by position:
| hkl | 2θ/deg | I (rel.) |
| --- | --- | --- |
| 1 0 1 | 15.90 | 14 |
| 1 1 2 | 24.77 | 69 |
| 2 2 0 | 40.88 | 51 |
| 2 0 4 | 41.06 | 100 |
| 3 1 2 | 48.38 | 21 |
| 1 1 6 | 48.71 | 11 |
| 4 0 0 | 59.19 | 17 |
| 0 0 8 | 59.75 | 8 |
| 3 1 6 | 65.42 | 8 |
| 4 2 4 | 74.56 | 32 |
| 2 2 8 | 74.94 | 15 |
| 4 0 8 | 89.08 | 10 |

=====

Record 2
This entry pairs a crystal structure of Tb10B2Br15 with its calculated X-ray diffraction stick pattern. Radiation: Cu Ka. Structure: a structure optimized by DFT (GGA-PBE).
Peak positions follow from Bragg's law for the DFT cell and can differ from measured ones.

Atomic structure:
```
data_Tb10B2Br15
_cell_length_a 9.0918
_cell_length_b 9.8672
_cell_length_c 10.7126
_cell_angle_alpha 91.21
_cell_angle_beta 114.50
_cell_angle_gamma 110.81
_space_group_name_H-M_alt 'P -1'
_space_group_IT_number 2
_space_group_name_Hall '-P 1'
loop_
_atom_site_label
_atom_site_fract_x
_atom_site_fract_y
_atom_site_fract_z
_atom_site_occupancy
Tb1 0.0252 0.2055 0.0949 1
Tb2 0.0847 0.5406 0.3227 1
Tb3 0.1742 0.2467 0.8218 1
Tb4 0.2211 0.5742 0.0482 1
Tb5 0.2991 0.9077 0.2756 1
B1 0.0325 0.6807 0.1229 1
Br1 0.0918 0.0376 0.3409 1
Br2 0.1384 0.3831 0.5842 1
Br3 0.2109 0.7388 0.8203 1
Br4 0.2686 0.0898 0.0568 1
Br5 0.3355 0.4423 0.2979 1
Br6 0.3845 0.7995 0.5290 1
Br7 0.4438 0.1574 0.7729 1
Br8 0.5000 0.5000 0.0000 1
```

The 12 most intense peaks (15° ≤ 2θ ≤ 90°), sorted by position:
| hkl | 2θ/deg | I (rel.) |
| --- | --- | --- |
| 1 1 -2 | 20.02 | 9 |
| 2 -3 0 | 29.60 | 13 |
| 0 2 -3 | 30.98 | 49 |
| 1 2 1 | 31.31 | 100 |
| -1 1 4 | 36.10 | 8 |
| 4 0 -1 | 44.32 | 17 |
| 1 0 4 | 44.60 | 48 |
| 3 0 -5 | 44.70 | 17 |
| -2 4 3 | 45.41 | 17 |
| 4 2 -4 | 55.05 | 15 |
| -2 2 6 | 56.05 | 8 |
| -7 2 3 | 73.48 | 10 |

=====

Record 3
This entry pairs a crystal structure of LiReO4 with its calculated X-ray diffraction stick pattern. Radiation: Cu Ka. Structure: a structure optimized by DFT (GGA-PBE).
Peak positions follow from Bragg's law for the DFT cell and can differ from measured ones.

Atomic structure:
```
data_LiReO4
_cell_length_a 4.5263
_cell_length_b 3.2968
_cell_length_c 9.0449
_cell_angle_alpha 90.00
_cell_angle_beta 95.35
_cell_angle_gamma 90.00
_space_group_name_H-M_alt 'P 1 2/c 1'
_space_group_IT_number 13
_space_group_name_Hall '-P 2yc'
loop_
_atom_site_label
_atom_site_fract_x
_atom_site_fract_y
_atom_site_fract_z
_atom_site_occupancy
Li1 0.0000 0.0000 0.0000 1
Re1 0.5000 0.3325 0.2500 1
O1 0.2295 0.4654 0.6149 1
O2 0.2946 0.0033 0.3530 1
```

The 12 most intense peaks (15° ≤ 2θ ≤ 90°), sorted by position:
| hkl | 2θ/deg | I (rel.) |
| --- | --- | --- |
| 1 0 0 | 19.71 | 100 |
| 1 0 -2 | 26.65 | 27 |
| 0 1 1 | 28.84 | 28 |
| 1 0 2 | 29.32 | 20 |
| 0 1 2 | 33.69 | 11 |
| 1 1 -1 | 34.62 | 17 |
| 1 1 1 | 35.71 | 19 |
| 1 1 -2 | 38.33 | 12 |
| 0 1 3 | 40.65 | 13 |
| 1 0 -4 | 43.20 | 9 |
| 2 0 2 | 46.74 | 13 |
| 2 0 -4 | 54.87 | 9 |

=====

Record 4
This entry pairs a crystal structure of LaAgS2 with its calculated X-ray diffraction stick pattern. Radiation: Cu Ka. Structure: a structure optimized by DFT (GGA-PBE).
Peak positions follow from Bragg's law for the DFT cell and can differ from measured ones.

Atomic structure:
```
data_LaAgS2
_cell_length_a 6.8799
_cell_length_b 7.5012
_cell_length_c 7.1726
_cell_angle_alpha 90.00
_cell_angle_beta 100.21
_cell_angle_gamma 90.00
_space_group_name_H-M_alt 'P 1 21/c 1'
_space_group_IT_number 14
_space_group_name_Hall '-P 2ybc'
loop_
_atom_site_label
_atom_site_fract_x
_atom_site_fract_y
_atom_site_fract_z
_atom_site_occupancy
La1 0.1947 0.0528 0.3004 1
Ag1 0.3957 0.6553 0.4360 1
S1 0.0625 0.7339 0.5073 1
S2 0.4056 0.1141 0.7035 1
```

The 12 most intense peaks (15° ≤ 2θ ≤ 90°), sorted by position:
| hkl | 2θ/deg | I (rel.) |
| --- | --- | --- |
| 1 1 1 | 23.03 | 100 |
| 1 0 -2 | 26.33 | 51 |
| 0 2 1 | 26.92 | 28 |
| 1 2 -1 | 28.99 | 56 |
| 2 1 -1 | 29.66 | 83 |
| 1 1 2 | 32.87 | 64 |
| 0 2 2 | 34.91 | 42 |
| 2 2 0 | 35.73 | 32 |
| 2 2 -1 | 36.33 | 34 |
| 1 3 -1 | 39.74 | 33 |
| 0 1 3 | 40.15 | 39 |
| 1 2 -3 | 45.47 | 27 |